Theoretical powder diffractogram
Compound: Rb2Na2Sn
Radiation: Cu Ka
Structure: the GGA-PBE geometry in Alexandria
Lines closer than 0.1° are merged.

Most intense lines, 5° ≤ 2θ ≤ 70°, sorted by position:
(hkl)	2θ/deg	intensity
0 0 1	8.56	39
2 0 -1	12.45	51
3 1 -1	23.97	38
1 1 2	26.63	51
3 1 -3	26.94	100
0 2 0	28.62	42
1 1 3	34.20	26
6 0 -3	37.96	17
6 2 -3	48.22	17
3 3 -3	49.68	18

Structure:
```
data_Rb2Na2Sn
_symmetry_space_group_name_H-M 'C 1 2/m 1'
_symmetry_Int_Tables_number 12
_cell_length_a 14.220
_cell_length_b 6.238
_cell_length_c 12.520
_cell_angle_alpha 90.00
_cell_angle_beta 124.42
_cell_angle_gamma 90.00
loop_
_symmetry_equiv_pos_as_xyz
'x,y,z'
'-x,-y,-z'
'-x,y,-z'
'x,-y,z'
'x+1/2,y+1/2,z'
'-x+1/2,-y+1/2,-z'
'-x+1/2,y+1/2,-z'
'x+1/2,-y+1/2,z'
loop_
_atom_site_label
_atom_site_type_symbol
_atom_site_fract_x
_atom_site_fract_y
_atom_site_fract_z
Rb1 Rb 0.151 0.000 0.498
Rb2 Rb 0.178 0.000 0.853
Na1 Na 0.014 0.500 0.163
Na2 Na 0.145 0.000 0.160
Sn1 Sn 0.072 0.500 0.640
```